Record 1
This entry pairs a crystal structure of Na2UPtO5 with its theoretical powder diffraction line list. Radiation: CuKα. Structure: a structure optimized by DFT (PBE).
Neutral-atom scattering factors, no anomalous dispersion.

Peak list (12 most intense, 2θ = 10–80°, low angle first)
- 2θ 14.79, d = 5.991 Å, I = 100
- 2θ 29.84, d = 2.995 Å, I = 63
- 2θ 33.46, d = 2.678 Å, I = 68
- 2θ 42.70, d = 2.117 Å, I = 67
- 2θ 45.43, d = 1.996 Å, I = 35
- 2θ 52.96, d = 1.729 Å, I = 20
- 2θ 55.30, d = 1.661 Å, I = 21
- 2θ 61.98, d = 1.497 Å, I = 10
- 2θ 64.11, d = 1.453 Å, I = 22
- 2θ 70.29, d = 1.339 Å, I = 27
- 2θ 72.31, d = 1.307 Å, I = 15
- 2θ 78.19, d = 1.223 Å, I = 23

Crystal structure
```
data_Na2UPtO5
_chemical_formula_sum 'Na4 U2 Pt2 O10'
_cell_length_a 5.988
_cell_length_b 5.988
_cell_length_c 5.991
_cell_angle_alpha 90.00
_cell_angle_beta 90.00
_cell_angle_gamma 90.00
_space_group_name_H-M_alt 'P 4/m b m'
_space_group_IT_number 127
_space_group_name_Hall '-P 4 2ab'
loop_
_atom_site_label
_atom_site_type_symbol
_atom_site_fract_x
_atom_site_fract_y
_atom_site_fract_z
_atom_site_occupancy
Na1 Na 0.158 0.342 0.000 1
U1 U 0.000 0.000 0.500 1
Pt1 Pt 0.000 0.500 0.500 1
O1 O 0.000 0.000 0.000 1
O2 O 0.187 0.687 0.302 1
```

=====

Record 2
This entry pairs a crystal structure of Na2UPtO6 with its theoretical powder diffraction line list. Radiation: CuKα. Structure: a structure optimized by DFT (PBE).
Neutral-atom scattering factors, no anomalous dispersion.

Peak list (12 most intense, 2θ = 10–80°, low angle first)
- 2θ 21.04, d = 4.223 Å, I = 54
- 2θ 21.97, d = 4.046 Å, I = 98
- 2θ 30.60, d = 2.921 Å, I = 100
- 2θ 31.27, d = 2.861 Å, I = 47
- 2θ 37.99, d = 2.369 Å, I = 22
- 2θ 44.80, d = 2.023 Å, I = 30
- 2θ 48.64, d = 1.872 Å, I = 24
- 2θ 49.99, d = 1.824 Å, I = 22
- 2θ 50.44, d = 1.809 Å, I = 22
- 2θ 53.97, d = 1.699 Å, I = 21
- 2θ 55.23, d = 1.663 Å, I = 40
- 2θ 63.71, d = 1.461 Å, I = 20

Crystal structure
```
data_Na2UPtO6
_chemical_formula_sum 'Na2 U1 Pt1 O6'
_cell_length_a 5.722
_cell_length_b 5.722
_cell_length_c 4.223
_cell_angle_alpha 90.00
_cell_angle_beta 90.00
_cell_angle_gamma 90.00
_space_group_name_H-M_alt 'P 4/m m m'
_space_group_IT_number 123
_space_group_name_Hall '-P 4 2'
loop_
_atom_site_label
_atom_site_type_symbol
_atom_site_fract_x
_atom_site_fract_y
_atom_site_fract_z
_atom_site_occupancy
Na1 Na 0.000 0.500 0.000 1
U1 U 0.000 0.000 0.500 1
Pt1 Pt 0.500 0.500 0.500 1
O1 O 0.000 0.000 0.000 1
O2 O 0.252 0.252 0.500 1
O3 O 0.500 0.500 0.000 1
```

=====

Record 3
This entry pairs a crystal structure of Na4ZnPt3O8 with its theoretical powder diffraction line list. Radiation: CuKα. Structure: a structure optimized by DFT (PBE).
Neutral-atom scattering factors, no anomalous dispersion.

Peak list (12 most intense, 2θ = 10–80°, low angle first)
- 2θ 17.12, d = 5.179 Å, I = 100
- 2θ 29.04, d = 3.075 Å, I = 24
- 2θ 33.26, d = 2.693 Å, I = 51
- 2θ 33.62, d = 2.666 Å, I = 44
- 2θ 34.59, d = 2.593 Å, I = 53
- 2θ 41.36, d = 2.183 Å, I = 43
- 2θ 42.19, d = 2.142 Å, I = 14
- 2θ 54.00, d = 1.698 Å, I = 18
- 2θ 54.80, d = 1.675 Å, I = 10
- 2θ 55.91, d = 1.645 Å, I = 16
- 2θ 59.46, d = 1.555 Å, I = 15
- 2θ 70.69, d = 1.333 Å, I = 13

Crystal structure
```
data_Na4ZnPt3O8
_chemical_formula_sum 'Na8 Zn2 Pt6 O16'
_cell_length_a 11.828
_cell_length_b 6.214
_cell_length_c 6.141
_cell_angle_alpha 90.00
_cell_angle_beta 118.61
_cell_angle_gamma 90.00
_space_group_name_H-M_alt 'C 1 2/m 1'
_space_group_IT_number 12
_space_group_name_Hall '-C 2y'
loop_
_atom_site_label
_atom_site_type_symbol
_atom_site_fract_x
_atom_site_fract_y
_atom_site_fract_z
_atom_site_occupancy
Na1 Na 0.000 0.000 0.000 1
Na2 Na 0.000 0.500 0.000 1
Na3 Na 0.250 0.250 0.500 1
Zn1 Zn 0.000 0.000 0.500 1
Pt1 Pt 0.000 0.500 0.500 1
Pt2 Pt 0.250 0.250 0.000 1
O1 O 0.053 0.255 0.752 1
O2 O 0.214 0.000 0.179 1
O3 O 0.239 0.500 0.209 1
```

=====

Record 4
This entry pairs a crystal structure of Na5Pu2O12 with its theoretical powder diffraction line list. Radiation: CuKα. Structure: a structure optimized by DFT (PBE).
Neutral-atom scattering factors, no anomalous dispersion.

Peak list (12 most intense, 2θ = 10–80°, low angle first)
- 2θ 10.30, d = 8.590 Å, I = 45
- 2θ 13.92, d = 6.362 Å, I = 100
- 2θ 16.11, d = 5.501 Å, I = 80
- 2θ 16.22, d = 5.466 Å, I = 31
- 2θ 19.47, d = 4.559 Å, I = 30
- 2θ 20.21, d = 4.393 Å, I = 27
- 2θ 21.63, d = 4.108 Å, I = 24
- 2θ 28.55, d = 3.127 Å, I = 18
- 2θ 30.11, d = 2.968 Å, I = 25
- 2θ 30.91, d = 2.893 Å, I = 20
- 2θ 31.21, d = 2.866 Å, I = 30
- 2θ 37.42, d = 2.403 Å, I = 19

Crystal structure
```
data_Na5Pu2O12
_chemical_formula_sum 'Na5 Pu2 O12'
_cell_length_a 5.930
_cell_length_b 6.770
_cell_length_c 9.220
_cell_angle_alpha 101.47
_cell_angle_beta 104.67
_cell_angle_gamma 102.63
_space_group_name_H-M_alt 'P -1'
_space_group_IT_number 2
_space_group_name_Hall '-P 1'
loop_
_atom_site_label
_atom_site_type_symbol
_atom_site_fract_x
_atom_site_fract_y
_atom_site_fract_z
_atom_site_occupancy
Na1 Na 0.000 0.000 0.000 1
Na2 Na 0.120 0.898 0.359 1
Na3 Na 0.494 0.570 0.833 1
Pu1 Pu 0.454 0.063 0.825 1
O1 O 0.200 0.941 0.625 1
O2 O 0.266 0.245 0.889 1
O3 O 0.307 0.841 0.935 1
O4 O 0.345 0.109 0.227 1
O5 O 0.363 0.717 0.242 1
O6 O 0.400 0.479 0.511 1
```

=====

Record 5
This entry pairs a crystal structure of Na4Pu3O8 with its theoretical powder diffraction line list. Radiation: CuKα. Structure: a structure optimized by DFT (PBE).
Neutral-atom scattering factors, no anomalous dispersion.

Peak list (12 most intense, 2θ = 10–80°, low angle first)
- 2θ 15.08, d = 5.877 Å, I = 100
- 2θ 15.67, d = 5.656 Å, I = 25
- 2θ 30.05, d = 2.974 Å, I = 18
- 2θ 30.38, d = 2.942 Å, I = 77
- 2θ 31.64, d = 2.828 Å, I = 38
- 2θ 36.35, d = 2.472 Å, I = 49
- 2θ 39.55, d = 2.278 Å, I = 22
- 2θ 47.21, d = 1.925 Å, I = 25
- 2θ 51.55, d = 1.773 Å, I = 19
- 2θ 53.13, d = 1.724 Å, I = 20
- 2θ 55.56, d = 1.654 Å, I = 21
- 2θ 62.45, d = 1.487 Å, I = 23

Crystal structure
```
data_Na4Pu3O8
_chemical_formula_sum 'Na12 Pu9 O24'
_cell_length_a 6.8949
_cell_length_b 6.8949
_cell_length_c 17.6298
_cell_angle_alpha 90.00
_cell_angle_beta 90.00
_cell_angle_gamma 120.00
_space_group_name_H-M_alt 'R -3 m'
_space_group_IT_number 166
_space_group_name_Hall '-R 3 2"'
loop_
_atom_site_label
_atom_site_type_symbol
_atom_site_fract_x
_atom_site_fract_y
_atom_site_fract_z
_atom_site_occupancy
Na1 Na 0.0000 0.0000 0.0000 1
Na2 Na 0.0000 0.0000 0.1438 1
Na3 Na 0.0000 0.0000 0.5000 1
Pu1 Pu 0.0000 0.5000 0.0000 1
O1 O 0.0000 0.0000 0.2705 1
O2 O 0.0268 0.5134 0.2691 1
```

=====

Record 6
This entry pairs a crystal structure of NaPu2O11 with its theoretical powder diffraction line list. Radiation: CuKα. Structure: a structure optimized by DFT (PBE).
Neutral-atom scattering factors, no anomalous dispersion.

Peak list (12 most intense, 2θ = 10–80°, low angle first)
- 2θ 15.98, d = 5.545 Å, I = 100
- 2θ 18.63, d = 4.763 Å, I = 53
- 2θ 18.81, d = 4.718 Å, I = 53
- 2θ 24.64, d = 3.613 Å, I = 56
- 2θ 24.78, d = 3.593 Å, I = 56
- 2θ 26.59, d = 3.352 Å, I = 57
- 2θ 31.18, d = 2.869 Å, I = 59
- 2θ 37.58, d = 2.393 Å, I = 24
- 2θ 42.30, d = 2.137 Å, I = 33
- 2θ 45.70, d = 1.985 Å, I = 19
- 2θ 45.94, d = 1.975 Å, I = 21
- 2θ 53.19, d = 1.722 Å, I = 14

Crystal structure
```
data_NaPu2O11
_chemical_formula_sum 'Na4 Pu8 O44'
_cell_length_a 11.091
_cell_length_b 9.526
_cell_length_c 9.436
_cell_angle_alpha 90.00
_cell_angle_beta 90.00
_cell_angle_gamma 90.00
_space_group_name_H-M_alt 'I m a 2'
_space_group_IT_number 46
_space_group_name_Hall 'I 2 -2a'
loop_
_atom_site_label
_atom_site_type_symbol
_atom_site_fract_x
_atom_site_fract_y
_atom_site_fract_z
_atom_site_occupancy
Na1 Na 0.000 0.000 0.000 1
Pu1 Pu 0.250 0.228 0.735 1
Pu2 Pu 0.250 0.731 0.767 1
O1 O 0.133 0.127 0.823 1
O2 O 0.134 0.166 0.149 1
O3 O 0.134 0.641 0.667 1
O4 O 0.134 0.682 0.370 1
O5 O 0.250 0.125 0.460 1
O6 O 0.250 0.518 0.977 1
O7 O 0.250 0.550 0.117 1
```

=====

Record 7
This entry pairs a crystal structure of Na3Pu4O12 with its theoretical powder diffraction line list. Radiation: CuKα. Structure: a structure optimized by DFT (PBE).
Neutral-atom scattering factors, no anomalous dispersion.

Peak list (12 most intense, 2θ = 10–80°, low angle first)
- 2θ 15.19, d = 5.832 Å, I = 1
- 2θ 21.55, d = 4.124 Å, I = 100
- 2θ 30.66, d = 2.916 Å, I = 90
- 2θ 34.39, d = 2.608 Å, I = 1
- 2θ 37.79, d = 2.381 Å, I = 20
- 2θ 43.91, d = 2.062 Å, I = 25
- 2θ 49.42, d = 1.844 Å, I = 46
- 2θ 54.51, d = 1.684 Å, I = 42
- 2θ 63.84, d = 1.458 Å, I = 15
- 2θ 68.23, d = 1.375 Å, I = 21
- 2θ 72.48, d = 1.304 Å, I = 17
- 2θ 76.64, d = 1.243 Å, I = 11

Crystal structure
```
data_Na3Pu4O12
_chemical_formula_sum 'Na6 Pu8 O24'
_cell_length_a 8.247
_cell_length_b 8.247
_cell_length_c 8.247
_cell_angle_alpha 90.00
_cell_angle_beta 90.00
_cell_angle_gamma 90.00
_space_group_name_H-M_alt 'I m -3'
_space_group_IT_number 204
_space_group_name_Hall '-I 2 2 3'
loop_
_atom_site_label
_atom_site_type_symbol
_atom_site_fract_x
_atom_site_fract_y
_atom_site_fract_z
_atom_site_occupancy
Na1 Na 0.000 0.000 0.500 1
Pu1 Pu 0.250 0.250 0.250 1
O1 O 0.000 0.293 0.211 1
```

=====

Record 8
This entry pairs a crystal structure of Na3PuO3 with its theoretical powder diffraction line list. Radiation: CuKα. Structure: a structure optimized by DFT (PBE).
Neutral-atom scattering factors, no anomalous dispersion.

Peak list (12 most intense, 2θ = 10–80°, low angle first)
- 2θ 15.69, d = 5.647 Å, I = 100
- 2θ 17.89, d = 4.959 Å, I = 36
- 2θ 25.92, d = 3.437 Å, I = 23
- 2θ 29.99, d = 2.979 Å, I = 19
- 2θ 30.43, d = 2.937 Å, I = 36
- 2θ 31.68, d = 2.825 Å, I = 47
- 2θ 36.23, d = 2.480 Å, I = 14
- 2θ 36.99, d = 2.430 Å, I = 31
- 2θ 40.04, d = 2.252 Å, I = 17
- 2θ 41.37, d = 2.182 Å, I = 17
- 2θ 52.74, d = 1.736 Å, I = 18
- 2θ 63.35, d = 1.468 Å, I = 15

Crystal structure
```
data_Na3PuO3
_chemical_formula_sum 'Na12 Pu4 O12'
_cell_length_a 6.868
_cell_length_b 6.879
_cell_length_c 9.919
_cell_angle_alpha 90.00
_cell_angle_beta 90.00
_cell_angle_gamma 90.00
_space_group_name_H-M_alt 'I m m a'
_space_group_IT_number 74
_space_group_name_Hall '-I 2b 2'
loop_
_atom_site_label
_atom_site_type_symbol
_atom_site_fract_x
_atom_site_fract_y
_atom_site_fract_z
_atom_site_occupancy
Na1 Na 0.000 0.250 0.027 1
Na2 Na 0.250 0.017 0.250 1
Pu1 Pu 0.000 0.250 0.481 1
O1 O 0.000 0.250 0.270 1
O2 O 0.217 0.000 0.500 1
```

=====

Record 9
This entry pairs a crystal structure of Na5PuO5 with its theoretical powder diffraction line list. Radiation: CuKα. Structure: a structure optimized by DFT (PBE).
Neutral-atom scattering factors, no anomalous dispersion.

Peak list (12 most intense, 2θ = 10–80°, low angle first)
- 2θ 14.14, d = 6.265 Å, I = 100
- 2θ 16.95, d = 5.230 Å, I = 40
- 2θ 18.30, d = 4.849 Å, I = 49
- 2θ 21.05, d = 4.220 Å, I = 86
- 2θ 23.86, d = 3.730 Å, I = 36
- 2θ 26.95, d = 3.308 Å, I = 28
- 2θ 32.19, d = 2.781 Å, I = 35
- 2θ 33.35, d = 2.686 Å, I = 33
- 2θ 37.08, d = 2.424 Å, I = 28
- 2θ 37.91, d = 2.373 Å, I = 39
- 2θ 39.06, d = 2.306 Å, I = 28
- 2θ 55.58, d = 1.653 Å, I = 26

Crystal structure
```
data_Na5PuO5
_chemical_formula_sum 'Na10 Pu2 O10'
_cell_length_a 11.038
_cell_length_b 4.612
_cell_length_c 6.612
_cell_angle_alpha 90.00
_cell_angle_beta 108.64
_cell_angle_gamma 90.00
_space_group_name_H-M_alt 'C 1 2/m 1'
_space_group_IT_number 12
_space_group_name_Hall '-C 2y'
loop_
_atom_site_label
_atom_site_type_symbol
_atom_site_fract_x
_atom_site_fract_y
_atom_site_fract_z
_atom_site_occupancy
Na1 Na 0.000 0.000 0.000 1
Na2 Na 0.179 0.500 0.358 1
Na3 Na 0.198 0.500 0.828 1
Pu1 Pu 0.000 0.000 0.500 1
O1 O 0.000 0.500 0.500 1
O2 O 0.137 0.000 0.339 1
O3 O 0.149 0.000 0.802 1
```

=====

Record 10
This entry pairs a crystal structure of Na2PuRuO5 with its theoretical powder diffraction line list. Radiation: CuKα. Structure: a structure optimized by DFT (PBE).
Neutral-atom scattering factors, no anomalous dispersion.

Peak list (12 most intense, 2θ = 10–80°, low angle first)
- 2θ 15.16, d = 5.844 Å, I = 100
- 2θ 25.62, d = 3.477 Å, I = 21
- 2θ 29.19, d = 3.059 Å, I = 47
- 2θ 30.60, d = 2.922 Å, I = 27
- 2θ 33.05, d = 2.710 Å, I = 84
- 2θ 41.75, d = 2.163 Å, I = 29
- 2θ 42.80, d = 2.113 Å, I = 48
- 2θ 44.67, d = 2.029 Å, I = 33
- 2θ 52.64, d = 1.739 Å, I = 25
- 2θ 55.96, d = 1.643 Å, I = 22
- 2θ 70.72, d = 1.332 Å, I = 17
- 2θ 76.95, d = 1.239 Å, I = 17

Crystal structure
```
data_Na2PuRuO5
_chemical_formula_sum 'Na4 Pu2 Ru2 O10'
_cell_length_a 6.119
_cell_length_b 6.119
_cell_length_c 5.844
_cell_angle_alpha 90.00
_cell_angle_beta 90.00
_cell_angle_gamma 90.00
_space_group_name_H-M_alt 'P 4/m b m'
_space_group_IT_number 127
_space_group_name_Hall '-P 4 2ab'
loop_
_atom_site_label
_atom_site_type_symbol
_atom_site_fract_x
_atom_site_fract_y
_atom_site_fract_z
_atom_site_occupancy
Na1 Na 0.161 0.339 0.000 1
Pu1 Pu 0.000 0.000 0.500 1
Ru1 Ru 0.000 0.500 0.500 1
O1 O 0.000 0.000 0.000 1
O2 O 0.165 0.665 0.287 1
```

=====

Record 11
This entry pairs a crystal structure of Na2PuSbO6 with its theoretical powder diffraction line list. Radiation: CuKα. Structure: a structure optimized by DFT (PBE).
Neutral-atom scattering factors, no anomalous dispersion.

Peak list (12 most intense, 2θ = 10–80°, low angle first)
- 2θ 15.22, d = 5.822 Å, I = 14
- 2θ 21.60, d = 4.114 Å, I = 100
- 2θ 26.56, d = 3.356 Å, I = 8
- 2θ 30.74, d = 2.909 Å, I = 98
- 2θ 37.88, d = 2.375 Å, I = 12
- 2θ 43.99, d = 2.059 Å, I = 22
- 2θ 44.09, d = 2.054 Å, I = 11
- 2θ 49.55, d = 1.840 Å, I = 44
- 2θ 54.65, d = 1.679 Å, I = 40
- 2θ 64.02, d = 1.454 Å, I = 20
- 2θ 68.41, d = 1.371 Å, I = 19
- 2θ 72.63, d = 1.302 Å, I = 12

Crystal structure
```
data_Na2PuSbO6
_chemical_formula_sum 'Na2 Pu1 Sb1 O6'
_cell_length_a 5.822
_cell_length_b 5.822
_cell_length_c 4.108
_cell_angle_alpha 90.00
_cell_angle_beta 90.00
_cell_angle_gamma 90.00
_space_group_name_H-M_alt 'P 4/m m m'
_space_group_IT_number 123
_space_group_name_Hall '-P 4 2'
loop_
_atom_site_label
_atom_site_type_symbol
_atom_site_fract_x
_atom_site_fract_y
_atom_site_fract_z
_atom_site_occupancy
Na1 Na 0.000 0.500 0.000 1
Pu1 Pu 0.000 0.000 0.500 1
Sb1 Sb 0.500 0.500 0.500 1
O1 O 0.000 0.000 0.000 1
O2 O 0.258 0.258 0.500 1
O3 O 0.500 0.500 0.000 1
```

=====

Record 12
This entry pairs a crystal structure of NaPuSc2O6 with its theoretical powder diffraction line list. Radiation: CuKα. Structure: a structure optimized by DFT (PBE).
Neutral-atom scattering factors, no anomalous dispersion.

Peak list (12 most intense, 2θ = 10–80°, low angle first)
- 2θ 18.06, d = 4.912 Å, I = 43
- 2θ 19.32, d = 4.595 Å, I = 100
- 2θ 21.99, d = 4.043 Å, I = 56
- 2θ 30.50, d = 2.930 Å, I = 63
- 2θ 32.06, d = 2.792 Å, I = 59
- 2θ 35.68, d = 2.517 Å, I = 21
- 2θ 37.04, d = 2.427 Å, I = 45
- 2θ 44.84, d = 2.021 Å, I = 25
- 2θ 49.42, d = 1.844 Å, I = 38
- 2θ 50.31, d = 1.814 Å, I = 17
- 2θ 56.18, d = 1.637 Å, I = 28
- 2θ 57.15, d = 1.612 Å, I = 20

Crystal structure
```
data_NaPuSc2O6
_chemical_formula_sum 'Na3 Pu3 Sc6 O18'
_cell_length_a 5.5837
_cell_length_b 5.5837
_cell_length_c 14.7359
_cell_angle_alpha 90.00
_cell_angle_beta 90.00
_cell_angle_gamma 120.00
_space_group_name_H-M_alt 'R 3'
_space_group_IT_number 146
_space_group_name_Hall 'R 3'
loop_
_atom_site_label
_atom_site_type_symbol
_atom_site_fract_x
_atom_site_fract_y
_atom_site_fract_z
_atom_site_occupancy
Na1 Na 0.0000 0.0000 0.0000 1
Pu1 Pu 0.0000 0.0000 0.4790 1
Sc1 Sc 0.0000 0.0000 0.2704 1
Sc2 Sc 0.0000 0.0000 0.7823 1
O1 O 0.0092 0.3606 0.5395 1
O2 O 0.0287 0.6118 0.0485 1
```